No. 1
Structure and computed powder X-ray diffraction pattern of SrAlSb2 (a DFT-relaxed cell (PBE, Alexandria); a wavelength of 1.5418 Å).
Neutral-atom scattering factors, no anomalous dispersion.

Principal peaks in the range 2θ from 10° to 80°, sorted by position:
2θ (°), d_spacing, I/Imax, hkl
23.3, 3.822, 42, 1 1 1
25.4, 3.510, 100, 0 2 0
25.9, 3.445, 27, 1 0 2
27.0, 3.307, 50, 0 1 3
27.3, 3.267, 74, 2 0 -2
28.9, 3.087, 43, 1 0 -4
36.5, 2.459, 31, 1 2 2
37.6, 2.391, 52, 2 2 -2
38.9, 2.318, 35, 1 2 -4
39.6, 2.279, 26, 2 0 2

Cell and atoms:
Cell lengths 6.5866, 7.0204, 12.3680 Å; angles 90.00, 114.60, 90.00 degrees
Space group P2/c (No. 13)
Asymmetric unit:
Sr: 0.1653 0.2482 0.1297 [4 per cell]
Al: 0.3013 0.0940 0.8877 [4 per cell]
Sb: 0.1266 0.2587 0.6705 [4 per cell]
Sb: 0.3786 0.2818 0.4305 [4 per cell]



No. 2
Structure and computed powder X-ray diffraction pattern of NaLaTl4 (a DFT-relaxed cell (PBE, Alexandria); a wavelength of 1.5418 Å).
Neutral-atom scattering factors, no anomalous dispersion.

Principal peaks in the range 2θ from 10° to 80°, sorted by position:
2θ (°), d_spacing, I/Imax, hkl
19.5, 4.541, 22, 0 1 1
24.1, 3.698, 24, 1 0 0
31.0, 2.889, 100, 1 1 -1
31.4, 2.852, 48, 1 0 2
33.6, 2.664, 89, 0 1 3
34.5, 2.601, 42, 0 2 0
45.4, 1.997, 18, 1 0 -4
47.3, 1.922, 31, 1 2 2
58.2, 1.584, 17, 1 2 -4
59.6, 1.551, 25, 0 0 6

Cell and atoms:
Cell lengths 3.6997, 5.2021, 9.3110 Å; angles 90.00, 91.77, 90.00 degrees
Space group Pm (No. 6)
Asymmetric unit:
Na: 0.0000 0.0000 0.0000 [1 per cell]
La: 0.0001 0.5000 0.5009 [1 per cell]
Tl: 0.3915 0.5000 0.8391 [1 per cell]
Tl: 0.3927 0.0000 0.3323 [1 per cell]
Tl: 0.6049 0.0000 0.6684 [1 per cell]
Tl: 0.6111 0.5000 0.1625 [1 per cell]



No. 3
Structure and computed powder X-ray diffraction pattern of Ti3SnBi (a DFT-relaxed cell (PBE, Alexandria); a wavelength of 1.5418 Å).
Neutral-atom scattering factors, no anomalous dispersion.

Principal peaks in the range 2θ from 10° to 80°, sorted by position:
2θ (°), d_spacing, I/Imax, hkl
19.6, 4.537, 37, 1 1 0
22.7, 3.915, 100, 1 1 -1
26.3, 3.392, 43, 4 0 0
26.5, 3.363, 34, 2 0 -2
29.4, 3.042, 32, 2 0 2
30.8, 2.905, 82, 3 1 1
37.4, 2.407, 65, 0 2 0
38.5, 2.337, 52, 4 0 2
38.8, 2.320, 95, 5 1 -1
41.7, 2.165, 71, 1 1 -3

Cell and atoms:
Cell lengths 13.6694, 4.8141, 7.2842 Å; angles 90.00, 96.92, 90.00 degrees
Space group C2/m (No. 12)
Asymmetric unit:
Ti: 0.0285 0.0000 0.1838 [4 per cell]
Ti: 0.1802 0.0000 0.9490 [4 per cell]
Ti: 0.2376 0.5000 0.7194 [4 per cell]
Sn: 0.1118 0.5000 0.0698 [4 per cell]
Bi: 0.1323 0.0000 0.5621 [4 per cell]